This entry pairs a crystal structure of Sm7Dy3Er with its calculated powder XRD pattern. Radiation: Cu Kα X-rays. Structure: a structure optimized by DFT (GGA-PBE).

Main lines, sorted by position (15 to 90 degrees two-theta):
- 31.44°, I 100
- 31.51°, I 55
- 31.81°, I 34
- 31.92°, I 54
- 32.87°, I 56
- 45.68°, I 26
- 51.92°, I 16
- 56.59°, I 30
- 57.50°, I 15
- 62.25°, I 19

Structure:
```
Sm7Dy3Er
1.0
7.0441 0.0000 0.0000
0.0000 5.6080 0.0000
-3.4936 0.0000 9.3532
Sm Dy Er
7 3 1
Direct
0.0000 0.0000 0.0000
0.1454 0.5000 0.2917
0.3213 0.5000 0.6395
0.4150 0.0000 0.8290
0.5850 0.0000 0.1710
0.6787 0.5000 0.3605
0.8546 0.5000 0.7083
0.0000 0.0000 0.5000
0.2797 0.5000 0.9997
0.7203 0.5000 0.0003
0.5000 0.0000 0.5000
```